1.
# AcBi2P2Pd7
Simulated X-ray diffraction stick pattern, Cu Ka. Input: a DFT-relaxed cell (GGA-PBE, Alexandria).

Structure:
```
data_AcBi2P2Pd7
_symmetry_space_group_name_H-M 'C 1 2/m 1'
_symmetry_Int_Tables_number 12
_cell_length_a 6.2560
_cell_length_b 6.7482
_cell_length_c 11.6563
_cell_angle_alpha 90.00
_cell_angle_beta 94.30
_cell_angle_gamma 90.00
loop_
_symmetry_equiv_pos_as_xyz
'x,y,z'
'-x,-y,-z'
'-x,y,-z'
'x,-y,z'
'x+1/2,y+1/2,z'
'-x+1/2,-y+1/2,-z'
'-x+1/2,y+1/2,-z'
'x+1/2,-y+1/2,z'
loop_
_atom_site_label
_atom_site_fract_x
_atom_site_fract_y
_atom_site_fract_z
_atom_site_occupancy
Ac1 0.0000 0.0000 0.0000 1
Bi1 0.1550 0.0000 0.3896 1
P1 0.1644 0.5000 0.1888 1
Pd1 0.0000 0.5000 0.0000 1
Pd2 0.1266 0.5000 0.3926 1
Pd3 0.1352 0.2893 0.7817 1
```

Peak list (10 most intense, 10 to 90 degrees two-theta, in order of rising 2θ)
2θ/deg  d/Å  I/Imax  hkl
25.41  3.505  32  1 1 2
26.42  3.374  38  0 2 0
30.64  2.918  74  0 2 2
33.61  2.666  60  2 0 2
35.27  2.544  54  0 2 3
35.57  2.524  60  2 0 -3
38.73  2.325  63  0 0 5
39.69  2.271  100  2 2 -1
52.20  1.752  33  2 2 4
60.91  1.521  29  2 2 -6



2.
# AcBiP2S8
Simulated X-ray diffraction stick pattern, Cu Ka. Input: a DFT-relaxed cell (GGA-PBE, Alexandria).

Structure:
```
data_AcBiP2S8
_symmetry_space_group_name_H-M 'P -3 m 1'
_symmetry_Int_Tables_number 164
_symmetry_space_group_name_Hall '-P 3 2"'
_cell_length_a 6.6291
_cell_length_b 6.6291
_cell_length_c 9.2217
_cell_angle_alpha 90.00
_cell_angle_beta 90.00
_cell_angle_gamma 120.00
loop_
_atom_site_label
_atom_site_fract_x
_atom_site_fract_y
_atom_site_fract_z
_atom_site_occupancy
Ac1 0.0000 0.0000 0.0000 1
Bi1 0.0000 0.0000 0.5000 1
P1 0.3333 0.6667 0.2012 1
S1 0.1621 0.3242 0.2689 1
S2 0.3333 0.6667 0.9842 1
```

Peak list (10 most intense, 10 to 90 degrees two-theta, in order of rising 2θ)
2θ/deg  d/Å  I/Imax  hkl
15.43  5.741  100  1 0 0
24.77  3.595  60  0 1 2
26.90  3.315  42  1 1 0
33.29  2.691  52  1 1 2
36.89  2.437  41  2 0 2
41.62  2.170  16  2 1 0
42.24  2.139  19  1 0 4
46.24  1.963  27  1 2 2
48.07  1.893  15  1 1 4
51.72  1.767  15  3 0 2



3.
# Ac6Bi3PSe2
Simulated X-ray diffraction stick pattern, Cu Ka. Input: a DFT-relaxed cell (GGA-PBE, Alexandria).

Structure:
```
data_Ac6Bi3PSe2
_symmetry_space_group_name_H-M 'C 1 2/m 1'
_symmetry_Int_Tables_number 12
_cell_length_a 20.3630
_cell_length_b 4.6735
_cell_length_c 9.3414
_cell_angle_alpha 90.00
_cell_angle_beta 103.01
_cell_angle_gamma 90.00
loop_
_symmetry_equiv_pos_as_xyz
'x,y,z'
'-x,-y,-z'
'-x,y,-z'
'x,-y,z'
'x+1/2,y+1/2,z'
'-x+1/2,-y+1/2,-z'
'-x+1/2,y+1/2,-z'
'x+1/2,-y+1/2,z'
loop_
_atom_site_label
_atom_site_fract_x
_atom_site_fract_y
_atom_site_fract_z
_atom_site_occupancy
Ac1 0.0011 0.0000 0.2307 1
Ac2 0.1576 0.5000 0.0859 1
Ac3 0.1685 0.5000 0.5760 1
Bi1 0.0000 0.5000 0.5000 1
Bi2 0.1699 0.0000 0.8335 1
P1 0.0000 0.5000 0.0000 1
Se1 0.1666 0.0000 0.3338 1
```

Peak list (10 most intense, 10 to 90 degrees two-theta, in order of rising 2θ)
2θ/deg  d/Å  I/Imax  hkl
23.31  3.816  10  3 1 0
26.98  3.305  100  1 1 -2
29.47  3.031  9  5 1 -1
38.50  2.338  53  0 2 0
38.58  2.333  25  7 1 -2
47.63  1.909  22  6 2 0
55.64  1.652  9  2 2 -4
62.78  1.480  12  4 2 4
62.93  1.477  23  1 3 -2
69.68  1.349  14  5 3 2



4.
# Ac10Bi3Pb3
Simulated X-ray diffraction stick pattern, Cu Ka. Input: a DFT-relaxed cell (GGA-PBE, Alexandria).

Structure:
```
data_Ac10Bi3Pb3
_symmetry_space_group_name_H-M 'P -6 2 m'
_symmetry_Int_Tables_number 189
_symmetry_space_group_name_Hall 'P -6 -2'
_cell_length_a 10.0333
_cell_length_b 10.0333
_cell_length_c 7.2387
_cell_angle_alpha 90.00
_cell_angle_beta 90.00
_cell_angle_gamma 120.00
loop_
_atom_site_label
_atom_site_fract_x
_atom_site_fract_y
_atom_site_fract_z
_atom_site_occupancy
Ac1 0.0000 0.2445 0.0000 1
Ac2 0.0000 0.7556 0.5000 1
Ac3 0.3333 0.6667 0.2504 1
Bi1 0.0000 0.3898 0.5000 1
Pb1 0.0000 0.6085 0.0000 1
```

Peak list (10 most intense, 10 to 90 degrees two-theta, in order of rising 2θ)
2θ/deg  d/Å  I/Imax  hkl
24.60  3.619  19  0 0 2
27.15  3.284  29  2 1 0
29.88  2.991  100  2 1 1
30.45  2.935  81  1 1 2
30.87  2.896  47  3 0 0
43.92  2.062  21  2 2 2
46.71  1.944  30  2 1 3
58.96  1.567  19  5 0 2
60.28  1.535  21  3 0 4
82.11  1.174  17  1 1 6



5.
# Ac2Bi5Pb
Simulated X-ray diffraction stick pattern, Cu Ka. Input: a DFT-relaxed cell (GGA-PBE, Alexandria).

Structure:
```
data_Ac2Bi5Pb
_symmetry_space_group_name_H-M 'C m m m'
_symmetry_Int_Tables_number 65
_symmetry_space_group_name_Hall '-C 2 2'
_cell_length_a 9.7182
_cell_length_b 10.4956
_cell_length_c 5.2337
_cell_angle_alpha 90.00
_cell_angle_beta 90.00
_cell_angle_gamma 90.00
loop_
_atom_site_label
_atom_site_fract_x
_atom_site_fract_y
_atom_site_fract_z
_atom_site_occupancy
Ac1 0.0000 0.2411 0.0000 1
Bi1 0.0000 0.0000 0.5000 1
Bi2 0.2426 0.5000 0.0000 1
Bi3 0.2500 0.2500 0.5000 1
Pb1 0.0000 0.5000 0.5000 1
```

Peak list (10 most intense, 10 to 90 degrees two-theta, in order of rising 2θ)
2θ/deg  d/Å  I/Imax  hkl
30.33  2.947  100  2 2 1
34.22  2.620  37  0 0 2
37.00  2.430  15  4 0 0
49.17  1.853  13  0 4 2
51.28  1.782  24  4 0 2
58.81  1.570  16  2 6 1
58.94  1.567  16  2 2 3
62.59  1.484  13  6 2 1
63.10  1.473  13  4 4 2
80.17  1.197  7  2 6 3



6.
# AcBi2Pb2
Simulated X-ray diffraction stick pattern, Cu Ka. Input: a DFT-relaxed cell (GGA-PBE, Alexandria).

Structure:
```
data_AcBi2Pb2
_symmetry_space_group_name_H-M 'C m c m'
_symmetry_Int_Tables_number 63
_symmetry_space_group_name_Hall '-C 2c 2'
_cell_length_a 4.8100
_cell_length_b 28.8571
_cell_length_c 4.8683
_cell_angle_alpha 90.00
_cell_angle_beta 90.00
_cell_angle_gamma 90.00
loop_
_atom_site_label
_atom_site_fract_x
_atom_site_fract_y
_atom_site_fract_z
_atom_site_occupancy
Ac1 0.0000 0.1569 0.2500 1
Bi1 0.0000 0.2497 0.7500 1
Bi2 0.0000 0.3660 0.2500 1
Pb1 0.0000 0.0466 0.7500 1
Pb2 0.0000 0.4529 0.7500 1
```

Peak list (10 most intense, 10 to 90 degrees two-theta, in order of rising 2θ)
2θ/deg  d/Å  I/Imax  hkl
30.37  2.943  100  1 5 1
30.99  2.886  20  0 10 0
36.93  2.434  16  0 0 2
37.39  2.405  16  2 0 0
48.95  1.861  12  0 10 2
49.32  1.848  12  2 10 0
53.57  1.711  12  2 0 2
54.74  1.677  12  1 15 1
62.51  1.486  13  1 5 3
63.16  1.472  24  3 5 1



7.
# Ac5Bi2Pb2
Simulated X-ray diffraction stick pattern, Cu Ka. Input: a DFT-relaxed cell (GGA-PBE, Alexandria).

Structure:
```
data_Ac5Bi2Pb2
_symmetry_space_group_name_H-M 'C m c e'
_symmetry_Int_Tables_number 64
_symmetry_space_group_name_Hall '-C 2ac 2'
_cell_length_a 17.1108
_cell_length_b 9.0346
_cell_length_c 9.1046
_cell_angle_alpha 90.00
_cell_angle_beta 90.00
_cell_angle_gamma 90.00
loop_
_atom_site_label
_atom_site_fract_x
_atom_site_fract_y
_atom_site_fract_z
_atom_site_occupancy
Ac1 0.0000 0.0000 0.0000 1
Ac2 0.1353 0.1682 0.3354 1
Bi1 0.2028 0.0000 0.0000 1
Pb1 0.0000 0.1349 0.6351 1
```

Peak list (10 most intense, 10 to 90 degrees two-theta, in order of rising 2θ)
2θ/deg  d/Å  I/Imax  hkl
26.93  3.311  100  3 1 2
27.82  3.207  45  0 2 2
28.64  3.117  31  4 0 2
28.74  3.106  33  4 2 0
29.59  3.019  32  5 1 1
30.41  2.940  86  4 2 1
31.53  2.837  65  1 1 3
31.73  2.820  66  1 3 1
41.15  2.194  27  5 3 1
57.23  1.610  41  7 3 3



8.
# Ac6BiSb3Pb2
Simulated X-ray diffraction stick pattern, Cu Ka. Input: a DFT-relaxed cell (GGA-PBE, Alexandria).

Structure:
```
data_Ac6BiSb3Pb2
_symmetry_space_group_name_H-M 'C 1 2/m 1'
_symmetry_Int_Tables_number 12
_cell_length_a 21.2641
_cell_length_b 4.7603
_cell_length_c 9.8268
_cell_angle_alpha 90.00
_cell_angle_beta 105.36
_cell_angle_gamma 90.00
loop_
_symmetry_equiv_pos_as_xyz
'x,y,z'
'-x,-y,-z'
'-x,y,-z'
'x,-y,z'
'x+1/2,y+1/2,z'
'-x+1/2,-y+1/2,-z'
'-x+1/2,y+1/2,-z'
'x+1/2,-y+1/2,z'
loop_
_atom_site_label
_atom_site_fract_x
_atom_site_fract_y
_atom_site_fract_z
_atom_site_occupancy
Ac1 0.0003 0.0000 0.2470 1
Ac2 0.1635 0.5000 0.0936 1
Ac3 0.1683 0.5000 0.5824 1
Bi1 0.0000 0.5000 0.5000 1
Sb1 0.0000 0.5000 0.0000 1
Sb2 0.1653 0.0000 0.3378 1
Pb1 0.1691 0.0000 0.8412 1
```

Peak list (10 most intense, 10 to 90 degrees two-theta, in order of rising 2θ)
2θ/deg  d/Å  I/Imax  hkl
26.07  3.418  100  6 0 0
36.60  2.455  14  2 0 -4
36.73  2.447  27  7 1 -2
37.67  2.388  26  5 1 2
37.80  2.380  13  0 2 0
46.50  1.953  14  6 2 0
53.63  1.709  14  12 0 0
59.93  1.544  13  13 1 -2
61.23  1.514  13  11 1 2
67.52  1.387  9  7 3 -2



9.
# Ac8Bi4Te3Pb
Simulated X-ray diffraction stick pattern, Cu Ka. Input: a DFT-relaxed cell (GGA-PBE, Alexandria).

Structure:
```
data_Ac8Bi4Te3Pb
_symmetry_space_group_name_H-M 'R -3 m'
_symmetry_Int_Tables_number 166
_symmetry_space_group_name_Hall '-R 3 2"'
_cell_length_a 9.6666
_cell_length_b 9.6666
_cell_length_c 23.6492
_cell_angle_alpha 90.00
_cell_angle_beta 90.00
_cell_angle_gamma 120.00
loop_
_atom_site_label
_atom_site_fract_x
_atom_site_fract_y
_atom_site_fract_z
_atom_site_occupancy
Ac1 0.0000 0.0000 0.2484 1
Ac2 0.0047 0.5024 0.7499 1
Bi1 0.0000 0.0000 0.5000 1
Bi2 0.0000 0.5000 0.5000 1
Te1 0.0000 0.5000 0.0000 1
Pb1 0.0000 0.0000 0.0000 1
```

Peak list (10 most intense, 10 to 90 degrees two-theta, in order of rising 2θ)
2θ/deg  d/Å  I/Imax  hkl
22.54  3.945  2  0 0 6
26.08  3.416  100  0 2 4
37.22  2.416  80  2 2 0
46.02  1.972  30  4 0 4
53.66  1.708  14  0 4 8
60.61  1.528  40  2 4 4
67.11  1.395  29  4 2 8
79.33  1.208  9  4 0 16
85.20  1.139  16  6 2 4
85.29  1.138  4  2 0 20



10.
# Ac3Bi2Pd4Pt2
Simulated X-ray diffraction stick pattern, Cu Ka. Input: a DFT-relaxed cell (GGA-PBE, Alexandria).

Structure:
```
data_Ac3Bi2Pd4Pt2
_symmetry_space_group_name_H-M 'P -3 m 1'
_symmetry_Int_Tables_number 164
_symmetry_space_group_name_Hall '-P 3 2"'
_cell_length_a 4.6467
_cell_length_b 4.6467
_cell_length_c 15.4401
_cell_angle_alpha 90.00
_cell_angle_beta 90.00
_cell_angle_gamma 120.00
loop_
_atom_site_label
_atom_site_fract_x
_atom_site_fract_y
_atom_site_fract_z
_atom_site_occupancy
Ac1 0.0000 0.0000 0.0000 1
Ac2 0.0000 0.0000 0.2564 1
Bi1 0.3333 0.6667 0.5804 1
Pd1 0.3333 0.6667 0.3895 1
Pd2 0.3333 0.6667 0.8695 1
Pt1 0.3333 0.6667 0.1309 1
```

Peak list (10 most intense, 10 to 90 degrees two-theta, in order of rising 2θ)
2θ/deg  d/Å  I/Imax  hkl
22.84  3.894  12  0 1 1
24.95  3.568  24  1 0 2
28.15  3.170  23  1 0 3
32.13  2.786  100  0 1 4
38.76  2.323  80  1 1 0
51.20  1.784  28  2 0 4
57.62  1.600  21  1 1 7
62.57  1.485  14  1 1 8
66.02  1.415  26  1 2 4
70.16  1.341  14  3 0 0



11.
# AcBiPdRh
Simulated X-ray diffraction stick pattern, Cu Ka. Input: a DFT-relaxed cell (GGA-PBE, Alexandria).

Structure:
```
data_AcBiPdRh
_symmetry_space_group_name_H-M 'C 1 m 1'
_symmetry_Int_Tables_number 8
_cell_length_a 8.7845
_cell_length_b 4.1859
_cell_length_c 5.8902
_cell_angle_alpha 90.00
_cell_angle_beta 109.42
_cell_angle_gamma 90.00
loop_
_symmetry_equiv_pos_as_xyz
'x,y,z'
'x,-y,z'
'x+1/2,y+1/2,z'
'x+1/2,-y+1/2,z'
loop_
_atom_site_label
_atom_site_fract_x
_atom_site_fract_y
_atom_site_fract_z
_atom_site_occupancy
Ac1 0.0000 0.0000 0.0000 1
Bi1 0.2118 0.0000 0.5916 1
Pd1 0.2799 0.5000 0.3161 1
Rh1 0.4840 0.0000 0.3880 1
```

Peak list (10 most intense, 10 to 90 degrees two-theta, in order of rising 2θ)
2θ/deg  d/Å  I/Imax  hkl
22.10  4.023  31  2 0 -1
23.82  3.736  33  1 1 0
30.78  2.905  100  1 1 1
30.92  2.892  38  2 0 1
32.28  2.774  47  2 0 -2
37.33  2.409  52  1 1 -2
37.88  2.375  94  3 1 -1
43.23  2.093  33  0 2 0
43.70  2.071  22  4 0 0
54.96  1.671  21  2 2 -2



12.
# AcBi2Sb2Pd7
Simulated X-ray diffraction stick pattern, Cu Ka. Input: a DFT-relaxed cell (GGA-PBE, Alexandria).

Structure:
```
data_AcBi2Sb2Pd7
_symmetry_space_group_name_H-M 'C 1 2/m 1'
_symmetry_Int_Tables_number 12
_cell_length_a 5.9630
_cell_length_b 5.9234
_cell_length_c 15.3360
_cell_angle_alpha 90.00
_cell_angle_beta 96.24
_cell_angle_gamma 90.00
loop_
_symmetry_equiv_pos_as_xyz
'x,y,z'
'-x,-y,-z'
'-x,y,-z'
'x,-y,z'
'x+1/2,y+1/2,z'
'-x+1/2,-y+1/2,-z'
'-x+1/2,y+1/2,-z'
'x+1/2,-y+1/2,z'
loop_
_atom_site_label
_atom_site_fract_x
_atom_site_fract_y
_atom_site_fract_z
_atom_site_occupancy
Ac1 0.0000 0.0000 0.0000 1
Bi1 0.1247 0.0000 0.4073 1
Sb1 0.0712 0.5000 0.2547 1
Pd1 0.0000 0.5000 0.0000 1
Pd2 0.1377 0.5000 0.4271 1
Pd3 0.2087 0.2498 0.8518 1
```

Peak list (10 most intense, 10 to 90 degrees two-theta, in order of rising 2θ)
2θ/deg  d/Å  I/Imax  hkl
25.03  3.558  44  1 1 2
29.29  3.049  42  0 0 5
30.15  2.964  47  0 2 0
33.30  2.691  51  2 0 -3
33.61  2.666  47  2 0 2
35.07  2.559  51  0 2 3
40.54  2.225  36  2 0 4
41.46  2.178  39  0 0 7
42.55  2.124  35  0 2 5
43.15  2.097  100  2 2 -1